For UAlIr, a GGA-PBE-relaxed structure gives the simulated powder diffraction line list in this record (Cu Kα (λ = 1.5418 Å)).
Lines closer than 0.1° are merged.

Top 10 peaks for 5 to 70 degrees two-theta, most intense first:
2θ = 37.1°, rel. 100; 2θ = 33.9°, rel. 66; 2θ = 25.8°, rel. 32; 2θ = 44.0°, rel. 24; 2θ = 45.8°, rel. 23; 2θ = 29.9°, rel. 23; 2θ = 45.5°, rel. 21; 2θ = 60.1°, rel. 20; 2θ = 39.8°, rel. 16; 2θ = 55.3°, rel. 15

Atomic structure:
```
data_UAlIr
_chemical_formula_sum 'U3 Al3 Ir3'
_symmetry_space_group_name_H-M 'P -6 2 m'
_symmetry_Int_Tables_number 189
_symmetry_space_group_name_Hall 'P -6 -2'
_cell_length_a 6.9110
_cell_length_b 6.9110
_cell_length_c 4.1152
_cell_angle_alpha 90.00
_cell_angle_beta 90.00
_cell_angle_gamma 120.00
loop_
_atom_site_label
_atom_site_type_symbol
_atom_site_fract_x
_atom_site_fract_y
_atom_site_fract_z
U1 U 0.0000 0.5784 0.0000
Al1 Al 0.0000 0.2368 0.5000
Ir1 Ir 0.0000 0.0000 0.0000
Ir2 Ir 0.3333 0.6667 0.5000
```

For AlZnIr2, a GGA-PBE-relaxed structure gives the simulated powder diffraction line list in this record (Cu Kα (λ = 1.5418 Å)).
Lines closer than 0.1° are merged.

Top 7 peaks for 5 to 70 degrees two-theta, most intense first:
2θ = 42.2°, rel. 100; 2θ = 29.5°, rel. 44; 2θ = 69.4°, rel. 17; 2θ = 61.2°, rel. 17; 2θ = 52.3°, rel. 13; 2θ = 25.5°, rel. 2; 2θ = 49.9°, rel. 1

Atomic structure:
```
data_AlZnIr2
_chemical_formula_sum 'Al4 Zn4 Ir8'
_symmetry_space_group_name_H-M 'F m -3 m'
_symmetry_Int_Tables_number 225
_symmetry_space_group_name_Hall '-F 4 2 3'
_cell_length_a 6.056
_cell_length_b 6.056
_cell_length_c 6.056
_cell_angle_alpha 90.00
_cell_angle_beta 90.00
_cell_angle_gamma 90.00
loop_
_atom_site_label
_atom_site_type_symbol
_atom_site_fract_x
_atom_site_fract_y
_atom_site_fract_z
Al1 Al 0.000 0.000 0.000
Zn1 Zn 0.000 0.000 0.500
Ir1 Ir 0.250 0.250 0.250
```

For Zr6Al16Ir7, a GGA-PBE-relaxed structure gives the simulated powder diffraction line list in this record (Cu Kα (λ = 1.5418 Å)).
Lines closer than 0.1° are merged.

Top 10 peaks for 5 to 70 degrees two-theta, most intense first:
2θ = 41.3°, rel. 100; 2θ = 28.9°, rel. 72; 2θ = 24.9°, rel. 58; 2θ = 48.8°, rel. 54; 2θ = 65.8°, rel. 27; 2θ = 37.8°, rel. 23; 2θ = 31.5°, rel. 21; 2θ = 35.5°, rel. 20; 2θ = 67.7°, rel. 19; 2θ = 59.8°, rel. 14

Atomic structure:
```
data_Zr6Al16Ir7
_chemical_formula_sum 'Zr24 Al64 Ir28'
_symmetry_space_group_name_H-M 'F m -3 m'
_symmetry_Int_Tables_number 225
_symmetry_space_group_name_Hall '-F 4 2 3'
_cell_length_a 12.374
_cell_length_b 12.374
_cell_length_c 12.374
_cell_angle_alpha 90.00
_cell_angle_beta 90.00
_cell_angle_gamma 90.00
loop_
_atom_site_label
_atom_site_type_symbol
_atom_site_fract_x
_atom_site_fract_y
_atom_site_fract_z
Zr1 Zr 0.000 0.000 0.191
Al1 Al 0.120 0.120 0.380
Al2 Al 0.162 0.162 0.162
Ir1 Ir 0.000 0.000 0.500
Ir2 Ir 0.000 0.250 0.250
```

For ZrAlIr, a GGA-PBE-relaxed structure gives the simulated powder diffraction line list in this record (Cu Kα (λ = 1.5418 Å)).
Lines closer than 0.1° are merged.

Top 10 peaks for 5 to 70 degrees two-theta, most intense first:
2θ = 40.2°, rel. 100; 2θ = 10.7°, rel. 62; 2θ = 37.9°, rel. 44; 2θ = 40.5°, rel. 29; 2θ = 21.4°, rel. 23; 2θ = 21.9°, rel. 19; 2θ = 38.7°, rel. 17; 2θ = 69.6°, rel. 16; 2θ = 69.8°, rel. 14; 2θ = 28.8°, rel. 14

Atomic structure:
```
data_ZrAlIr
_chemical_formula_sum 'Zr8 Al8 Ir8'
_symmetry_space_group_name_H-M 'A m m 2'
_symmetry_Int_Tables_number 38
_cell_length_a 8.290
_cell_length_b 5.393
_cell_length_c 9.238
_cell_angle_alpha 90.00
_cell_angle_beta 90.00
_cell_angle_gamma 90.00
loop_
_symmetry_equiv_pos_as_xyz
'x,y,z'
'-x,-y,z'
'-x,y,z'
'x,-y,z'
'x,y+1/2,z+1/2'
'-x,-y+1/2,z+1/2'
'-x,y+1/2,z+1/2'
'x,-y+1/2,z+1/2'
loop_
_atom_site_label
_atom_site_type_symbol
_atom_site_fract_x
_atom_site_fract_y
_atom_site_fract_z
Zr1 Zr 0.177 0.000 0.000
Zr2 Zr 0.292 0.000 0.664
Al1 Al 0.245 0.000 0.324
Al2 Al 0.500 0.242 0.917
Ir1 Ir 0.000 0.000 0.496
Ir2 Ir 0.000 0.246 0.746
Ir3 Ir 0.500 0.000 0.160
```

For K3Al, a GGA-PBE-relaxed structure gives the simulated powder diffraction line list in this record (Cu Kα (λ = 1.5418 Å)).
Lines closer than 0.1° are merged.

Top 10 peaks for 5 to 70 degrees two-theta, most intense first:
2θ = 27.0°, rel. 100; 2θ = 30.8°, rel. 35; 2θ = 52.5°, rel. 26; 2θ = 45.2°, rel. 21; 2θ = 32.2°, rel. 15; 2θ = 54.3°, rel. 12; 2θ = 44.2°, rel. 12; 2θ = 55.7°, rel. 11; 2θ = 64.2°, rel. 3; 2θ = 17.2°, rel. 3

Atomic structure:
```
data_K3Al
_chemical_formula_sum 'K6 Al2'
_symmetry_space_group_name_H-M 'I 4/m m m'
_symmetry_Int_Tables_number 139
_symmetry_space_group_name_Hall '-I 4 2'
_cell_length_a 5.799
_cell_length_b 5.799
_cell_length_c 11.131
_cell_angle_alpha 90.00
_cell_angle_beta 90.00
_cell_angle_gamma 90.00
loop_
_atom_site_label
_atom_site_type_symbol
_atom_site_fract_x
_atom_site_fract_y
_atom_site_fract_z
K1 K 0.000 0.000 0.000
K2 K 0.000 0.500 0.250
Al1 Al 0.000 0.000 0.500
```

For K3Al, a GGA-PBE-relaxed structure gives the simulated powder diffraction line list in this record (Cu Kα (λ = 1.5418 Å)).
Lines closer than 0.1° are merged.

Top 10 peaks for 5 to 70 degrees two-theta, most intense first:
2θ = 26.8°, rel. 100; 2θ = 31.0°, rel. 50; 2θ = 52.6°, rel. 38; 2θ = 44.4°, rel. 33; 2θ = 55.1°, rel. 11; 2θ = 64.6°, rel. 5; 2θ = 15.4°, rel. 2; 2θ = 21.8°, rel. 2; 2θ = 34.8°, rel. 1; 2θ = 38.2°, rel. 1

Atomic structure:
```
data_K3Al
_chemical_formula_sum 'K3 Al1'
_symmetry_space_group_name_H-M 'P m -3 m'
_symmetry_Int_Tables_number 221
_symmetry_space_group_name_Hall '-P 4 2 3'
_cell_length_a 5.772
_cell_length_b 5.772
_cell_length_c 5.772
_cell_angle_alpha 90.00
_cell_angle_beta 90.00
_cell_angle_gamma 90.00
loop_
_atom_site_label
_atom_site_type_symbol
_atom_site_fract_x
_atom_site_fract_y
_atom_site_fract_z
K1 K 0.000 0.000 0.500
Al1 Al 0.500 0.500 0.500
```

For K2LiAlP2, a GGA-PBE-relaxed structure gives the simulated powder diffraction line list in this record (Cu Kα (λ = 1.5418 Å)).
Lines closer than 0.1° are merged.

Top 10 peaks for 5 to 70 degrees two-theta, most intense first:
2θ = 31.6°, rel. 100; 2θ = 41.6°, rel. 37; 2θ = 29.2°, rel. 24; 2θ = 29.0°, rel. 21; 2θ = 53.3°, rel. 18; 2θ = 38.0°, rel. 17; 2θ = 37.9°, rel. 16; 2θ = 53.1°, rel. 15; 2θ = 53.5°, rel. 14; 2θ = 15.6°, rel. 13

Atomic structure:
```
data_K2LiAlP2
_chemical_formula_sum 'K8 Li4 Al4 P8'
_symmetry_space_group_name_H-M 'I b a m'
_symmetry_Int_Tables_number 72
_symmetry_space_group_name_Hall '-I 2 2c'
_cell_length_a 6.163
_cell_length_b 14.912
_cell_length_c 6.124
_cell_angle_alpha 90.00
_cell_angle_beta 90.00
_cell_angle_gamma 90.00
loop_
_atom_site_label
_atom_site_type_symbol
_atom_site_fract_x
_atom_site_fract_y
_atom_site_fract_z
K1 K 0.227 0.173 0.000
Li1 Li 0.000 0.000 0.250
Al1 Al 0.000 0.500 0.250
P1 P 0.221 0.412 0.000
```

For KMg6Al, a GGA-PBE-relaxed structure gives the simulated powder diffraction line list in this record (Cu Kα (λ = 1.5418 Å)).
Lines closer than 0.1° are merged.

Top 10 peaks for 5 to 70 degrees two-theta, most intense first:
2θ = 35.2°, rel. 100; 2θ = 35.6°, rel. 44; 2θ = 34.6°, rel. 35; 2θ = 30.5°, rel. 22; 2θ = 66.5°, rel. 17; 2θ = 62.3°, rel. 17; 2θ = 54.9°, rel. 17; 2θ = 31.0°, rel. 14; 2θ = 46.8°, rel. 13; 2θ = 66.4°, rel. 12

Atomic structure:
```
data_KMg6Al
_chemical_formula_sum 'K2 Mg12 Al2'
_symmetry_space_group_name_H-M 'A m m 2'
_symmetry_Int_Tables_number 38
_cell_length_a 5.191
_cell_length_b 6.797
_cell_length_c 11.525
_cell_angle_alpha 90.00
_cell_angle_beta 90.00
_cell_angle_gamma 90.00
loop_
_symmetry_equiv_pos_as_xyz
'x,y,z'
'-x,-y,z'
'-x,y,z'
'x,-y,z'
'x,y+1/2,z+1/2'
'-x,-y+1/2,z+1/2'
'-x,y+1/2,z+1/2'
'x,-y+1/2,z+1/2'
loop_
_atom_site_label
_atom_site_type_symbol
_atom_site_fract_x
_atom_site_fract_y
_atom_site_fract_z
K1 K 0.000 0.000 0.000
Mg1 Mg 0.000 0.243 0.747
Mg2 Mg 0.500 0.000 0.334
Mg3 Mg 0.500 0.000 0.819
Mg4 Mg 0.500 0.227 0.581
Al1 Al 0.000 0.000 0.507
```

For KMg14Al, a GGA-PBE-relaxed structure gives the simulated powder diffraction line list in this record (Cu Kα (λ = 1.5418 Å)).
Lines closer than 0.1° are merged.

Top 10 peaks for 5 to 70 degrees two-theta, most intense first:
2θ = 36.2°, rel. 100; 2θ = 36.4°, rel. 47; 2θ = 34.0°, rel. 39; 2θ = 31.8°, rel. 23; 2θ = 62.2°, rel. 18; 2θ = 68.0°, rel. 18; 2θ = 57.0°, rel. 16; 2θ = 47.2°, rel. 14; 2θ = 69.1°, rel. 13; 2θ = 32.1°, rel. 13

Atomic structure:
```
data_KMg14Al
_chemical_formula_sum 'K2 Mg28 Al2'
_symmetry_space_group_name_H-M 'A m m 2'
_symmetry_Int_Tables_number 38
_cell_length_a 10.560
_cell_length_b 6.518
_cell_length_c 11.164
_cell_angle_alpha 90.00
_cell_angle_beta 90.00
_cell_angle_gamma 90.00
loop_
_symmetry_equiv_pos_as_xyz
'x,y,z'
'-x,-y,z'
'-x,y,z'
'x,-y,z'
'x,y+1/2,z+1/2'
'-x,-y+1/2,z+1/2'
'-x,y+1/2,z+1/2'
'x,-y+1/2,z+1/2'
loop_
_atom_site_label
_atom_site_type_symbol
_atom_site_fract_x
_atom_site_fract_y
_atom_site_fract_z
K1 K 0.000 0.000 0.000
Mg1 Mg 0.000 0.242 0.252
Mg2 Mg 0.241 0.000 0.665
Mg3 Mg 0.258 0.240 0.417
Mg4 Mg 0.264 0.000 0.172
Mg5 Mg 0.500 0.000 0.500
Mg6 Mg 0.500 0.000 0.999
Mg7 Mg 0.500 0.247 0.750
Al1 Al 0.000 0.000 0.490
```

For KMg6Al, a GGA-PBE-relaxed structure gives the simulated powder diffraction line list in this record (Cu Kα (λ = 1.5418 Å)).
Lines closer than 0.1° are merged.

Top 10 peaks for 5 to 70 degrees two-theta, most intense first:
2θ = 35.2°, rel. 100; 2θ = 30.5°, rel. 25; 2θ = 34.6°, rel. 24; 2θ = 62.4°, rel. 17; 2θ = 46.8°, rel. 14; 2θ = 66.0°, rel. 12; 2θ = 54.3°, rel. 11; 2θ = 66.3°, rel. 8; 2θ = 65.9°, rel. 6; 2θ = 54.2°, rel. 6

Atomic structure:
```
data_KMg6Al
_chemical_formula_sum 'K2 Mg12 Al2'
_symmetry_space_group_name_H-M 'A m m 2'
_symmetry_Int_Tables_number 38
_cell_length_a 5.182
_cell_length_b 6.767
_cell_length_c 11.690
_cell_angle_alpha 90.00
_cell_angle_beta 90.00
_cell_angle_gamma 90.00
loop_
_symmetry_equiv_pos_as_xyz
'x,y,z'
'-x,-y,z'
'-x,y,z'
'x,-y,z'
'x,y+1/2,z+1/2'
'-x,-y+1/2,z+1/2'
'-x,y+1/2,z+1/2'
'x,-y+1/2,z+1/2'
loop_
_atom_site_label
_atom_site_type_symbol
_atom_site_fract_x
_atom_site_fract_y
_atom_site_fract_z
K1 K 0.000 0.000 0.000
Mg1 Mg 0.000 0.000 0.495
Mg2 Mg 0.000 0.236 0.249
Mg3 Mg 0.500 0.000 0.665
Mg4 Mg 0.500 0.229 0.407
Al1 Al 0.500 0.000 0.183
```

For KMg14Al, a GGA-PBE-relaxed structure gives the simulated powder diffraction line list in this record (Cu Kα (λ = 1.5418 Å)).
Lines closer than 0.1° are merged.

Top 10 peaks for 5 to 70 degrees two-theta, most intense first:
2θ = 36.2°, rel. 100; 2θ = 33.8°, rel. 26; 2θ = 31.9°, rel. 24; 2θ = 67.8°, rel. 18; 2θ = 62.0°, rel. 17; 2θ = 56.9°, rel. 17; 2θ = 47.1°, rel. 15; 2θ = 69.3°, rel. 13; 2θ = 66.7°, rel. 3; 2θ = 29.8°, rel. 1

Atomic structure:
```
data_KMg14Al
_chemical_formula_sum 'K1 Mg14 Al1'
_symmetry_space_group_name_H-M 'P -6 m 2'
_symmetry_Int_Tables_number 187
_symmetry_space_group_name_Hall 'P -6 2'
_cell_length_a 6.4731
_cell_length_b 6.4731
_cell_length_c 10.6224
_cell_angle_alpha 90.00
_cell_angle_beta 90.00
_cell_angle_gamma 120.00
loop_
_atom_site_label
_atom_site_type_symbol
_atom_site_fract_x
_atom_site_fract_y
_atom_site_fract_z
K1 K 0.0000 0.0000 0.0000
Mg1 Mg 0.0082 0.5041 0.0000
Mg2 Mg 0.1695 0.3391 0.2658
Mg3 Mg 0.5015 0.0030 0.5000
Mg4 Mg 0.6667 0.3333 0.2440
Al1 Al 0.0000 0.0000 0.5000
```

For KMg14AlO16, a GGA-PBE-relaxed structure gives the simulated powder diffraction line list in this record (Cu Kα (λ = 1.5418 Å)).
Lines closer than 0.1° are merged.

Top 10 peaks for 5 to 70 degrees two-theta, most intense first:
2θ = 42.2°, rel. 100; 2θ = 60.4°, rel. 59; 2θ = 41.2°, rel. 56; 2θ = 61.1°, rel. 27; 2θ = 36.0°, rel. 20; 2θ = 43.3°, rel. 2; 2θ = 37.8°, rel. 1; 2θ = 37.6°, rel. 1; 2θ = 31.3°, rel. 1; 2θ = 14.6°, rel. 1

Atomic structure:
```
data_KMg14AlO16
_chemical_formula_sum 'K1 Mg14 Al1 O16'
_symmetry_space_group_name_H-M 'P 4/m m m'
_symmetry_Int_Tables_number 123
_symmetry_space_group_name_Hall '-P 4 2'
_cell_length_a 8.576
_cell_length_b 8.576
_cell_length_c 4.380
_cell_angle_alpha 90.00
_cell_angle_beta 90.00
_cell_angle_gamma 90.00
loop_
_atom_site_label
_atom_site_type_symbol
_atom_site_fract_x
_atom_site_fract_y
_atom_site_fract_z
K1 K 0.000 0.000 0.000
Mg1 Mg 0.000 0.249 0.500
Mg2 Mg 0.000 0.500 0.000
Mg3 Mg 0.248 0.248 0.000
Mg4 Mg 0.249 0.500 0.500
Al1 Al 0.500 0.500 0.000
O1 O 0.000 0.000 0.500
O2 O 0.000 0.277 0.000
O3 O 0.000 0.500 0.500
O4 O 0.251 0.251 0.500
O5 O 0.274 0.500 0.000
O6 O 0.500 0.500 0.500
```